# 1
Starting from DFT lattice parameters and positions (PBE), the powder X-ray diffraction pattern of Ho4NiHg2 was calculated for Cu Kα X-rays.
Neutral-atom scattering factors, no anomalous dispersion.

Atomic structure:
Unit cell a=7.8497 b=12.7479 c=3.8776 alpha=90.00 beta=90.00 gamma=90.00
Sites, in units of the cell vectors:
Ho: 0.1191 0.1957 0.0000
Ho: 0.2240 0.9472 0.5000
Ho: 0.2760 0.4472 0.5000
Ho: 0.3809 0.6957 0.0000
Ho: 0.6191 0.3043 0.0000
Ho: 0.7240 0.5528 0.5000
Ho: 0.7760 0.0528 0.5000
Ho: 0.8809 0.8043 0.0000
Ni: 0.0000 0.0000 0.0000
Ni: 0.5000 0.5000 0.0000
Hg: 0.0827 0.6645 0.5000
Hg: 0.4173 0.1645 0.5000
Hg: 0.5827 0.8355 0.5000
Hg: 0.9173 0.3355 0.5000

The 12 most intense peaks (2θ = 10–90°), low angle first:
Position (°2θ)	d [Å]	I/Imax
22.9	3.878	10.4
26.6	3.350	31.0
30.3	2.953	46.0
33.3	2.694	100.0
35.5	2.532	18.8
37.1	2.421	27.6
44.1	2.055	24.0
46.9	1.939	19.1
48.6	1.875	13.0
50.3	1.813	12.0
56.8	1.621	16.8
61.3	1.513	13.0



# 2
Starting from DFT lattice parameters and positions (PBE), the powder X-ray diffraction pattern of HoTcHgO6 was calculated for Cu Kα X-rays.
Neutral-atom scattering factors, no anomalous dispersion.

Atomic structure:
Unit cell a=5.6910 b=5.6910 c=5.3325 alpha=97.91 beta=97.91 gamma=120.63
Sites, in units of the cell vectors:
Ho: 0.0000 0.0000 0.0000
Tc: 0.3520 0.6480 0.0000
Hg: 0.6854 0.3146 0.5000
O: 0.0019 0.6450 0.7886
O: 0.1176 0.4400 0.1962
O: 0.2519 0.3256 0.7763
O: 0.3550 0.9981 0.2114
O: 0.5600 0.8824 0.8038
O: 0.6744 0.7481 0.2237

The 12 most intense peaks (2θ = 10–90°), low angle first:
Position (°2θ)	d [Å]	I/Imax
22.2	4.003	100.0
25.0	3.557	91.1
28.6	3.124	50.6
31.8	2.815	73.9
33.1	2.707	24.6
35.0	2.561	20.6
37.7	2.388	29.1
41.2	2.189	27.0
44.2	2.048	28.4
45.9	1.978	19.2
51.6	1.771	24.6
58.3	1.582	25.2



# 3
Starting from DFT lattice parameters and positions (PBE), the powder X-ray diffraction pattern of Ho3HgOs was calculated for Cu Kα X-rays.
Neutral-atom scattering factors, no anomalous dispersion.

Atomic structure:
Unit cell a=9.3557 b=8.6408 c=5.8076 alpha=78.00 beta=64.61 gamma=37.39
Sites, in units of the cell vectors:
Ho: 0.1994 0.1994 0.8006
Ho: 0.2024 0.5760 0.4240
Ho: 0.4240 0.7976 0.2024
Ho: 0.5760 0.2024 0.7976
Ho: 0.7976 0.4240 0.5760
Ho: 0.8006 0.8006 0.1994
Hg: 0.2149 0.7851 0.7851
Hg: 0.7851 0.2149 0.2149
Os: 0.2500 0.2500 0.2500
Os: 0.7500 0.7500 0.7500

The 12 most intense peaks (2θ = 10–90°), low angle first:
Position (°2θ)	d [Å]	I/Imax
21.5	4.135	27.1
29.0	3.083	21.9
31.6	2.835	49.2
32.5	2.752	45.1
35.3	2.545	100.0
35.4	2.535	19.3
35.7	2.515	64.9
37.3	2.413	22.0
38.5	2.337	42.1
43.8	2.067	18.4
54.0	1.697	16.9
57.5	1.602	24.1



# 4
Starting from DFT lattice parameters and positions (PBE), the powder X-ray diffraction pattern of Ho5Hg2OsRh2 was calculated for Cu Kα X-rays.
Neutral-atom scattering factors, no anomalous dispersion.

Atomic structure:
Unit cell a=11.5196 b=11.5196 c=3.5076 alpha=90.00 beta=90.00 gamma=90.00
Sites, in units of the cell vectors:
Ho: 0.0000 0.5000 0.0000
Ho: 0.0738 0.1917 0.0000
Ho: 0.1917 0.9262 0.0000
Ho: 0.3083 0.4262 0.0000
Ho: 0.4262 0.6917 0.0000
Ho: 0.5000 0.0000 0.0000
Ho: 0.5738 0.3083 0.0000
Ho: 0.6917 0.5738 0.0000
Ho: 0.8083 0.0738 0.0000
Ho: 0.9262 0.8083 0.0000
Hg: 0.1752 0.6752 0.5000
Hg: 0.3248 0.1752 0.5000
Hg: 0.6752 0.8248 0.5000
Hg: 0.8248 0.3248 0.5000
Os: 0.0000 0.0000 0.5000
Os: 0.5000 0.5000 0.5000
Rh: 0.1318 0.3682 0.5000
Rh: 0.3682 0.8682 0.5000
Rh: 0.6318 0.1318 0.5000
Rh: 0.8682 0.6318 0.5000

The 12 most intense peaks (2θ = 10–90°), low angle first:
Position (°2θ)	d [Å]	I/Imax
30.8	2.899	14.5
32.0	2.794	47.8
33.0	2.715	14.4
33.7	2.658	15.3
34.8	2.576	18.9
35.5	2.527	100.0
38.1	2.362	28.1
52.2	1.754	14.1
57.0	1.616	10.0
62.5	1.485	14.4
62.9	1.478	8.8
64.6	1.442	10.0



# 5
Starting from DFT lattice parameters and positions (PBE), the powder X-ray diffraction pattern of Ho3Hg3Pb was calculated for Cu Kα X-rays.
Neutral-atom scattering factors, no anomalous dispersion.

Atomic structure:
Unit cell a=9.2186 b=9.2186 c=4.9917 alpha=90.00 beta=90.00 gamma=120.00
Sites, in units of the cell vectors:
Ho: 0.0995 0.4423 0.2500
Ho: 0.3428 0.9005 0.2500
Ho: 0.4423 0.3428 0.7500
Ho: 0.5577 0.6572 0.2500
Ho: 0.6572 0.0995 0.7500
Ho: 0.9005 0.5577 0.7500
Hg: 0.0342 0.2309 0.7500
Hg: 0.1968 0.9658 0.7500
Hg: 0.2309 0.1968 0.2500
Hg: 0.7691 0.8032 0.7500
Hg: 0.8032 0.0342 0.2500
Hg: 0.9658 0.7691 0.2500
Pb: 0.3333 0.6667 0.7500
Pb: 0.6667 0.3333 0.2500

The 12 most intense peaks (2θ = 10–90°), low angle first:
Position (°2θ)	d [Å]	I/Imax
29.6	3.017	25.6
34.7	2.582	100.0
36.0	2.496	22.2
47.3	1.923	14.4
52.5	1.742	19.2
53.3	1.719	4.5
63.9	1.457	17.5
64.5	1.444	13.5
65.3	1.429	20.1
83.9	1.153	4.1
87.2	1.118	6.3
87.8	1.112	8.2



# 6
Starting from DFT lattice parameters and positions (PBE), the powder X-ray diffraction pattern of Ho3Hg2Pb was calculated for Cu Kα X-rays.
Neutral-atom scattering factors, no anomalous dispersion.

Atomic structure:
Unit cell a=8.3754 b=8.3754 c=3.7716 alpha=90.00 beta=90.00 gamma=143.37
Sites, in units of the cell vectors:
Ho: 0.0000 0.0000 0.0000
Ho: 0.3300 0.6700 0.0000
Ho: 0.6700 0.3300 0.0000
Hg: 0.1722 0.8278 0.5000
Hg: 0.8278 0.1722 0.5000
Pb: 0.5000 0.5000 0.5000

The 12 most intense peaks (2θ = 10–90°), low angle first:
Position (°2θ)	d [Å]	I/Imax
33.8	2.653	100.0
34.1	2.632	19.7
48.3	1.886	7.5
48.8	1.868	14.3
60.2	1.537	7.6
60.4	1.532	22.4
60.8	1.524	15.1
71.0	1.327	9.4
80.6	1.192	6.9
81.3	1.184	3.1
81.4	1.182	6.5
81.7	1.179	3.3



# 7
Starting from DFT lattice parameters and positions (PBE), the powder X-ray diffraction pattern of HoHg3Pb was calculated for Cu Kα X-rays.
Neutral-atom scattering factors, no anomalous dispersion.

Atomic structure:
Unit cell a=8.1596 b=8.1596 c=8.1596 alpha=140.49 beta=121.54 gamma=72.86
Sites, in units of the cell vectors:
Ho: 0.2787 0.0287 0.2500
Ho: 0.7213 0.9713 0.7500
Hg: 0.1061 0.1754 0.9307
Hg: 0.2552 0.8246 0.4307
Hg: 0.5000 0.0000 0.0000
Hg: 0.5000 0.5000 0.5000
Hg: 0.7448 0.1754 0.5693
Hg: 0.8939 0.8246 0.0693
Pb: 0.0000 0.5000 0.5000
Pb: 0.5000 0.5000 0.0000

The 12 most intense peaks (2θ = 10–90°), low angle first:
Position (°2θ)	d [Å]	I/Imax
26.0	3.428	41.2
28.5	3.136	19.3
32.5	2.758	18.0
33.7	2.659	14.6
34.5	2.600	100.0
35.1	2.556	19.0
36.0	2.494	16.9
39.7	2.268	18.6
40.1	2.248	17.3
53.5	1.714	20.7
58.9	1.568	15.0
59.2	1.560	14.8



# 8
Starting from DFT lattice parameters and positions (PBE), the powder X-ray diffraction pattern of HoHg2Pb was calculated for Cu Kα X-rays.
Neutral-atom scattering factors, no anomalous dispersion.

Atomic structure:
Unit cell a=4.5671 b=4.5671 c=4.8564 alpha=90.00 beta=90.00 gamma=90.00
Sites, in units of the cell vectors:
Ho: 0.0000 0.0000 0.0000
Hg: 0.0000 0.5000 0.5000
Hg: 0.5000 0.0000 0.5000
Pb: 0.5000 0.5000 0.0000

The 10 most intense peaks (2θ = 10–90°), low angle first:
Position (°2θ)	d [Å]	I/Imax
33.3	2.689	100.0
37.0	2.428	18.9
39.5	2.284	31.8
55.2	1.664	24.3
57.0	1.615	11.0
64.4	1.447	15.4
67.7	1.384	26.6
70.0	1.345	12.1
78.8	1.214	2.2
84.9	1.142	3.7



# 9
Starting from DFT lattice parameters and positions (PBE), the powder X-ray diffraction pattern of HoHg3Pb3 was calculated for Cu Kα X-rays.
Neutral-atom scattering factors, no anomalous dispersion.

Atomic structure:
Unit cell a=6.3457 b=6.3457 c=6.3457 alpha=108.27 beta=108.27 gamma=108.27
Sites, in units of the cell vectors:
Ho: 0.0000 0.0000 0.0000
Hg: 0.4765 0.9954 0.9954
Hg: 0.9954 0.4765 0.9954
Hg: 0.9954 0.9954 0.4765
Pb: 0.4807 0.4807 0.9028
Pb: 0.4807 0.9028 0.4807
Pb: 0.9028 0.4807 0.4807

The 12 most intense peaks (2θ = 10–90°), low angle first:
Position (°2θ)	d [Å]	I/Imax
17.2	5.143	10.6
28.4	3.141	9.2
29.7	3.009	17.5
30.1	2.969	23.4
33.4	2.680	100.0
34.9	2.571	77.0
37.9	2.377	11.0
49.1	1.856	25.0
52.4	1.745	13.9
58.8	1.570	17.1
61.6	1.505	20.6
65.4	1.426	10.3



# 10
Starting from DFT lattice parameters and positions (PBE), the powder X-ray diffraction pattern of Ho3Hg3Pb2 was calculated for Cu Kα X-rays.
Neutral-atom scattering factors, no anomalous dispersion.

Atomic structure:
Unit cell a=6.0447 b=6.0447 c=6.0447 alpha=89.48 beta=89.48 gamma=89.48
Sites, in units of the cell vectors:
Ho: 0.0000 0.6618 0.3382
Ho: 0.3382 0.0000 0.6618
Ho: 0.6618 0.3382 0.0000
Hg: 0.2279 0.5000 0.7721
Hg: 0.5000 0.7721 0.2279
Hg: 0.7721 0.2279 0.5000
Pb: 0.1635 0.1635 0.1635
Pb: 0.8365 0.8365 0.8365

The 12 most intense peaks (2θ = 10–90°), low angle first:
Position (°2θ)	d [Å]	I/Imax
25.6	3.479	17.5
33.0	2.713	100.0
33.3	2.693	23.2
36.5	2.464	18.9
36.6	2.457	65.2
47.4	1.916	10.3
50.1	1.821	20.2
51.9	1.761	11.4
55.0	1.669	9.6
57.2	1.610	10.0
63.6	1.463	25.6
65.2	1.431	24.6



# 11
Starting from DFT lattice parameters and positions (PBE), the powder X-ray diffraction pattern of Ho2Hg3Pd2 was calculated for Cu Kα X-rays.
Neutral-atom scattering factors, no anomalous dispersion.

Atomic structure:
Unit cell a=5.5409 b=5.5409 c=7.6951 alpha=93.77 beta=93.77 gamma=41.74
Sites, in units of the cell vectors:
Ho: 0.1175 0.1175 0.3452
Ho: 0.8825 0.8825 0.6548
Hg: 0.2014 0.2014 0.8571
Hg: 0.5000 0.5000 0.0000
Hg: 0.7986 0.7986 0.1429
Pd: 0.4033 0.4033 0.3721
Pd: 0.5967 0.5967 0.6279

The 12 most intense peaks (2θ = 10–90°), low angle first:
Position (°2θ)	d [Å]	I/Imax
30.0	2.982	21.7
33.3	2.693	100.0
34.1	2.626	14.0
34.6	2.595	38.6
35.9	2.501	31.4
37.2	2.419	57.0
40.4	2.231	16.2
40.7	2.216	15.8
46.0	1.974	26.3
55.5	1.655	10.1
59.7	1.549	12.7
68.1	1.376	20.0



# 12
Starting from DFT lattice parameters and positions (PBE), the powder X-ray diffraction pattern of Ho5HgPd2 was calculated for Cu Kα X-rays.
Neutral-atom scattering factors, no anomalous dispersion.

Atomic structure:
Unit cell a=8.6163 b=8.6163 c=8.6163 alpha=126.00 beta=126.00 gamma=79.88
Sites, in units of the cell vectors:
Ho: 0.0000 0.0000 0.0000
Ho: 0.0173 0.5173 0.8177
Ho: 0.1996 0.0173 0.5000
Ho: 0.3004 0.8004 0.8177
Ho: 0.4827 0.3004 0.5000
Ho: 0.5000 0.5000 0.0000
Ho: 0.5173 0.6996 0.5000
Ho: 0.6996 0.1996 0.1823
Ho: 0.8004 0.9827 0.5000
Ho: 0.9827 0.4827 0.1823
Hg: 0.2500 0.2500 0.0000
Hg: 0.7500 0.7500 0.0000
Pd: 0.1343 0.3657 0.5000
Pd: 0.3657 0.8657 0.2313
Pd: 0.6343 0.1343 0.7687
Pd: 0.8657 0.6343 0.5000

The 12 most intense peaks (2θ = 10–90°), low angle first:
Position (°2θ)	d [Å]	I/Imax
26.4	3.382	10.9
31.5	2.836	29.3
32.4	2.766	16.0
32.7	2.739	100.0
35.6	2.524	37.2
36.3	2.474	71.2
42.9	2.109	11.0
52.3	1.749	11.7
52.5	1.743	11.7
57.2	1.610	18.1
67.9	1.380	16.0
68.3	1.374	16.9